For Ca2I4O13, a crystal structure in the Materials Project, relaxed with GGA-PBE gives the calculated powder XRD pattern in this record (Cu Kα (λ = 1.5418 Å)).
Peak positions follow from Bragg's law for the DFT cell and can differ from measured ones.

Most intense lines, 2θ = 10–90°, sorted by position:
2θ (°)  I/Imax
21.90  83
23.19  49
24.95  100
27.19  41
31.79  40
35.18  37

Structure:
Unit cell a=7.2111 b=7.2111 c=16.4217 alpha=97.69 beta=97.69 gamma=54.10
Positions (direct):
Ca1 0.1253 0.6636 0.6243
Ca2 0.3364 0.8747 0.8757
Ca3 0.6636 0.1253 0.1243
Ca4 0.8747 0.3364 0.3757
I1 0.0821 0.4852 0.1450
I2 0.1641 0.6725 0.3911
I3 0.3275 0.8359 0.1089
I4 0.4852 0.0821 0.6450
I5 0.5148 0.9179 0.3550
I6 0.6725 0.1641 0.8911
I7 0.8359 0.3275 0.6089
I8 0.9179 0.5148 0.8550
O1 0.0080 0.7789 0.1597
O2 0.0781 0.1239 0.1407
O3 0.1141 0.4510 0.3876
O4 0.1239 0.0781 0.6407
O5 0.1819 0.7355 0.5015
O6 0.2211 0.9920 0.3403
O7 0.2627 0.3816 0.0592
O8 0.2645 0.8181 0.9985
O9 0.3209 0.3492 0.2270
O10 0.3492 0.3209 0.7270
O11 0.3556 0.6444 0.7500
O12 0.3816 0.2627 0.5592
O13 0.4510 0.1141 0.8876
O14 0.5490 0.8859 0.1124
O15 0.6184 0.7373 0.4408
O16 0.6444 0.3556 0.2500
O17 0.6508 0.6791 0.2730
O18 0.6791 0.6508 0.7730
O19 0.7355 0.1819 0.0015
O20 0.7373 0.6184 0.9408
O21 0.7789 0.0080 0.6597
O22 0.8181 0.2645 0.4985
O23 0.8761 0.9219 0.3593
O24 0.8859 0.5490 0.6124
O25 0.9219 0.8761 0.8593
O26 0.9920 0.2211 0.8403


For CaI2O4, a crystal structure in the Materials Project, relaxed with GGA-PBE gives the calculated powder XRD pattern in this record (Cu Kα (λ = 1.5418 Å)).
Peak positions follow from Bragg's law for the DFT cell and can differ from measured ones.

Most intense lines, 2θ = 10–90°, sorted by position:
2θ (°)  I/Imax
22.85  66
25.31  99
26.37  73
29.36  56
29.59  100
39.94  39

Structure:
Unit cell a=4.7187 b=8.1210 c=7.5037 alpha=90.00 beta=110.01 gamma=90.00
Positions (direct):
Ca1 0.0000 0.0000 0.0000
Ca2 0.0000 0.5000 0.5000
I1 0.3148 0.1217 0.6350
I2 0.3148 0.3783 0.1350
I3 0.6852 0.6217 0.8650
I4 0.6852 0.8783 0.3650
O1 0.0099 0.5023 0.1924
O2 0.0099 0.9977 0.6924
O3 0.4421 0.6656 0.6065
O4 0.4421 0.8344 0.1065
O5 0.5579 0.1656 0.8935
O6 0.5579 0.3344 0.3935
O7 0.9901 0.0023 0.3076
O8 0.9901 0.4977 0.8076